Entry 1:
For CsH2Cl4, DFT lattice parameters and positions (GGA-PBE) gives the theoretical XRD peak list in this record (a wavelength of 1.5418 Å).
Neutral-atom scattering factors, no anomalous dispersion.

Cell and atoms:
```
data_CsH2Cl4
_symmetry_space_group_name_H-M 'C c c m'
_symmetry_Int_Tables_number 66
_symmetry_space_group_name_Hall '-C 2 2c'
_cell_length_a 6.564
_cell_length_b 11.495
_cell_length_c 11.702
_cell_angle_alpha 90.00
_cell_angle_beta 90.00
_cell_angle_gamma 90.00
loop_
_atom_site_label
_atom_site_type_symbol
_atom_site_fract_x
_atom_site_fract_y
_atom_site_fract_z
Cs1 Cs 0.000 0.000 0.250
H1 H 0.041 0.345 0.000
Cl1 Cl 0.212 0.404 0.000
Cl2 Cl 0.250 0.250 0.388
```

Top 12 peaks for 10° ≤ 2θ ≤ 90°, low angle first:
2θ/deg, intensity, (hkl)
15.5, 48, 1 1 0
21.7, 100, 1 1 2
26.9, 20, 1 3 0
28.0, 30, 1 3 1
31.1, 29, 0 4 0
31.2, 29, 2 0 2
31.4, 22, 2 2 0
34.4, 41, 0 2 4
34.8, 16, 0 4 2
35.0, 21, 2 2 2
41.7, 13, 1 5 0
52.6, 18, 2 4 4

***

Entry 2:
For Er7TmTh2, DFT lattice parameters and positions (GGA-PBE) gives the theoretical XRD peak list in this record (a wavelength of 1.5418 Å).
Neutral-atom scattering factors, no anomalous dispersion.

Cell and atoms:
```
data_Er7TmTh2
_symmetry_space_group_name_H-M 'P -1'
_symmetry_Int_Tables_number 2
_symmetry_space_group_name_Hall '-P 1'
_cell_length_a 3.544
_cell_length_b 9.300
_cell_length_c 9.929
_cell_angle_alpha 105.63
_cell_angle_beta 90.03
_cell_angle_gamma 100.93
loop_
_atom_site_label
_atom_site_type_symbol
_atom_site_fract_x
_atom_site_fract_y
_atom_site_fract_z
Er1 Er 0.000 0.000 0.000
Er2 Er 0.201 0.402 0.104
Er3 Er 0.398 0.796 0.696
Er4 Er 0.399 0.801 0.200
Tm1 Tm 0.000 0.000 0.500
Th1 Th 0.200 0.399 0.600
```

Top 12 peaks for 10° ≤ 2θ ≤ 90°, low angle first:
2θ/deg, intensity, (hkl)
31.0, 100, 1 0 -2
31.2, 98, 0 3 -2
36.0, 67, 1 2 0
36.2, 33, 0 1 -4
51.6, 12, 2 -1 0
51.9, 24, 1 3 -4
52.0, 36, 0 5 0
61.5, 22, 2 -4 2
61.8, 21, 1 5 -2
61.9, 28, 0 4 -6
64.6, 12, 2 0 -4
84.8, 9, 2 -5 6

***

Entry 3:
For Sr2Zn3Ga5, DFT lattice parameters and positions (GGA-PBE) gives the theoretical XRD peak list in this record (a wavelength of 1.5418 Å).
Neutral-atom scattering factors, no anomalous dispersion.

Cell and atoms:
```
data_Sr2Zn3Ga5
_symmetry_space_group_name_H-M 'P -4 m 2'
_symmetry_Int_Tables_number 115
_symmetry_space_group_name_Hall 'P -4 -2'
_cell_length_a 4.398
_cell_length_b 4.398
_cell_length_c 10.936
_cell_angle_alpha 90.00
_cell_angle_beta 90.00
_cell_angle_gamma 90.00
loop_
_atom_site_label
_atom_site_type_symbol
_atom_site_fract_x
_atom_site_fract_y
_atom_site_fract_z
Sr1 Sr 0.000 0.500 0.248
Zn1 Zn 0.000 0.000 0.000
Zn2 Zn 0.000 0.500 0.872
Ga1 Ga 0.000 0.000 0.500
Ga2 Ga 0.000 0.500 0.639
Ga3 Ga 0.500 0.500 0.000
Ga4 Ga 0.500 0.500 0.500
```

Top 12 peaks for 10° ≤ 2θ ≤ 90°, low angle first:
2θ/deg, intensity, (hkl)
31.9, 53, 1 0 3
33.1, 100, 1 1 2
41.0, 63, 2 0 0
44.1, 28, 1 1 4
46.4, 28, 1 0 5
52.9, 24, 2 1 3
58.7, 11, 1 1 6
59.4, 21, 2 2 0
63.6, 21, 2 1 5
69.8, 22, 3 1 2
76.9, 10, 3 1 4
83.2, 14, 2 0 8

***

Entry 4:
For GaFe14Mo, DFT lattice parameters and positions (GGA-PBE) gives the theoretical XRD peak list in this record (a wavelength of 1.5418 Å).
Neutral-atom scattering factors, no anomalous dispersion.

Cell and atoms:
```
data_GaFe14Mo
_symmetry_space_group_name_H-M 'C m m m'
_symmetry_Int_Tables_number 65
_symmetry_space_group_name_Hall '-C 2 2'
_cell_length_a 5.799
_cell_length_b 8.094
_cell_length_c 8.099
_cell_angle_alpha 90.00
_cell_angle_beta 90.00
_cell_angle_gamma 90.00
loop_
_atom_site_label
_atom_site_type_symbol
_atom_site_fract_x
_atom_site_fract_y
_atom_site_fract_z
Ga1 Ga 0.000 0.000 0.000
Fe1 Fe 0.000 0.000 0.500
Fe2 Fe 0.000 0.248 0.252
Fe3 Fe 0.000 0.500 0.500
Fe4 Fe 0.249 0.500 0.257
Fe5 Fe 0.250 0.250 0.000
Fe6 Fe 0.250 0.250 0.500
Mo1 Mo 0.000 0.500 0.000
```

Top 9 peaks for 10° ≤ 2θ ≤ 90°, low angle first:
2θ/deg, intensity, (hkl)
10.9, 1, 0 0 1
22.0, 1, 0 0 2
39.8, 1, 2 2 1
44.5, 100, 2 2 2
44.8, 49, 0 4 0
64.2, 8, 4 0 0
65.2, 14, 0 4 4
81.7, 15, 4 4 0
82.3, 29, 2 6 2